(1)
Theoretical powder diffraction line list of Nd3Ga9Os2 for λ = 1.5418 Å (Cu Kα), from a cell relaxed with PBE.
Kinematic intensities with the Lorentz-polarization factor, no thermal factor.

Largest 6 diffraction maxima, most intense first, 2θ = 10–90°:
index	2θ (°)	d [Å]	I_rel
1 2 3	35.0	2.563	100
1 3 2	37.9	2.376	44
2 0 0	41.5	2.173	44
0 3 3	35.3	2.543	40
1 1 4	36.1	2.488	37
1 3 4	45.3	2.000	27

```
data_Nd3Ga9Os2
_cell_length_a 4.3469
_cell_length_b 9.4975
_cell_length_c 12.8104
_cell_angle_alpha 90.00
_cell_angle_beta 90.00
_cell_angle_gamma 90.00
_symmetry_space_group_name_H-M 'I m m m'
_symmetry_Int_Tables_number 71
_symmetry_space_group_name_Hall '-I 2 2'
loop_
_atom_site_label
_atom_site_type_symbol
_atom_site_fract_x
_atom_site_fract_y
_atom_site_fract_z
Nd1 Nd 0.0000 0.0000 0.0000
Nd2 Nd 0.0000 0.0000 0.2981
Ga1 Ga 0.0000 0.2831 0.1280
Ga2 Ga 0.0000 0.3608 0.3485
Ga3 Ga 0.0000 0.5000 0.0000
Os1 Os 0.0000 0.1753 0.5000
```

=====

(2)
Theoretical powder diffraction line list of RbTaTlGeTeAs for λ = 1.5418 Å (Cu Kα), from a cell relaxed with PBE.
Kinematic intensities with the Lorentz-polarization factor, no thermal factor.

Largest 6 diffraction maxima, most intense first, 2θ = 10–90°:
index	2θ (°)	d [Å]	I_rel
0 2 1	27.6	3.229	100
1 1 0	20.3	4.376	99
0 0 1	13.5	6.578	97
1 1 1	21.1	4.210	88
0 1 0	14.2	6.241	88
0 1 -1	22.5	3.957	85

```
data_RbTaTlGeTeAs
_cell_length_a 4.9588
_cell_length_b 6.8882
_cell_length_c 6.9999
_cell_angle_alpha 70.31
_cell_angle_beta 80.90
_cell_angle_gamma 72.17
_symmetry_space_group_name_H-M 'P 1'
_symmetry_Int_Tables_number 1
_symmetry_space_group_name_Hall 'P 1'
loop_
_atom_site_label
_atom_site_type_symbol
_atom_site_fract_x
_atom_site_fract_y
_atom_site_fract_z
Rb1 Rb 0.0000 0.0000 0.0000
Ta1 Ta 0.7103 0.7161 0.6340
Tl1 Tl 0.9811 0.4118 0.4241
Ge1 Ge 0.4303 0.0703 0.4014
Te1 Te 0.6380 0.5501 0.0333
As1 As 0.1844 0.7746 0.5692
```

=====

What did the first record say?
Theoretical powder diffraction line list of Nd3Ga9Os2 for λ = 1.5418 Å (Cu Kα), from a cell relaxed with PBE.
Kinematic intensities with the Lorentz-polarization factor, no thermal factor.

Largest 6 diffraction maxima, most intense first, 2θ = 10–90°:
index	2θ (°)	d [Å]	I_rel
1 2 3	35.0	2.563	100
1 3 2	37.9	2.376	44
2 0 0	41.5	2.173	44
0 3 3	35.3	2.543	40
1 1 4	36.1	2.488	37
1 3 4	45.3	2.000	27

```
data_Nd3Ga9Os2
_cell_length_a 4.3469
_cell_length_b 9.4975
_cell_length_c 12.8104
_cell_angle_alpha 90.00
_cell_angle_beta 90.00
_cell_angle_gamma 90.00
_symmetry_space_group_name_H-M 'I m m m'
_symmetry_Int_Tables_number 71
_symmetry_space_group_name_Hall '-I 2 2'
loop_
_atom_site_label
_atom_site_type_symbol
_atom_site_fract_x
_atom_site_fract_y
_atom_site_fract_z
Nd1 Nd 0.0000 0.0000 0.0000
Nd2 Nd 0.0000 0.0000 0.2981
Ga1 Ga 0.0000 0.2831 0.1280
Ga2 Ga 0.0000 0.3608 0.3485
Ga3 Ga 0.0000 0.5000 0.0000
Os1 Os 0.0000 0.1753 0.5000
```

=====

Repeat the first record exactly.
Theoretical powder diffraction line list of Nd3Ga9Os2 for λ = 1.5418 Å (Cu Kα), from a cell relaxed with PBE.
Kinematic intensities with the Lorentz-polarization factor, no thermal factor.

Largest 6 diffraction maxima, most intense first, 2θ = 10–90°:
index	2θ (°)	d [Å]	I_rel
1 2 3	35.0	2.563	100
1 3 2	37.9	2.376	44
2 0 0	41.5	2.173	44
0 3 3	35.3	2.543	40
1 1 4	36.1	2.488	37
1 3 4	45.3	2.000	27

```
data_Nd3Ga9Os2
_cell_length_a 4.3469
_cell_length_b 9.4975
_cell_length_c 12.8104
_cell_angle_alpha 90.00
_cell_angle_beta 90.00
_cell_angle_gamma 90.00
_symmetry_space_group_name_H-M 'I m m m'
_symmetry_Int_Tables_number 71
_symmetry_space_group_name_Hall '-I 2 2'
loop_
_atom_site_label
_atom_site_type_symbol
_atom_site_fract_x
_atom_site_fract_y
_atom_site_fract_z
Nd1 Nd 0.0000 0.0000 0.0000
Nd2 Nd 0.0000 0.0000 0.2981
Ga1 Ga 0.0000 0.2831 0.1280
Ga2 Ga 0.0000 0.3608 0.3485
Ga3 Ga 0.0000 0.5000 0.0000
Os1 Os 0.0000 0.1753 0.5000
```